Simulated powder diffraction line list
Compound: TePBr2
Radiation: Cu Kα (λ = 1.5418 Å)
Structure: a cell relaxed with PBE
Lines closer than 0.1° are merged.

Structural model:
Lattice parameters (Å, degrees): 5.016 5.016 8.815 90.00 90.00 136.85
Positions (direct):
Te1 0.000 0.000 0.000
P1 0.500 0.500 0.195
Br1 0.000 0.000 0.420
Br2 0.500 0.500 0.733

Top 12 peaks for 2θ from 15° to 90°, most intense first:
| 2theta | Rel. int. |
| --- | --- |
| 19.03 | 100 |
| 33.09 | 81 |
| 43.23 | 38 |
| 27.90 | 20 |
| 38.60 | 16 |
| 59.33 | 15 |
| 36.13 | 13 |
| 53.41 | 12 |
| 30.42 | 10 |
| 65.99 | 10 |
| 58.90 | 10 |
| 45.52 | 9 |